1.
Simulated PXRD pattern
Compound: Pr4CdSi2
Radiation: λ = 1.5418 Å (Cu Kα)
Structure: a cell relaxed with PBE
Intensities are scaled so that the largest is 100.

Largest 6 diffraction maxima, most intense first, 2θ from 10° to 90°:
Position (°2θ), I (rel.)
25.9, 100.0
35.0, 75.3
38.7, 31.8
44.0, 24.1
57.4, 21.8
30.5, 18.8

Crystal structure
```
Pr4CdSi2
1.0
2.5649 1.4808 9.1022
-2.5649 1.4808 9.1022
0.0000 -2.9616 9.1022
Pr Cd Si
4 1 2
Direct
0.1175 0.1175 0.1175
0.2927 0.2927 0.2927
0.7073 0.7073 0.7073
0.8825 0.8825 0.8825
0.5000 0.5000 0.5000
0.4042 0.4042 0.4042
0.5958 0.5958 0.5958
```

***

2.
Simulated PXRD pattern
Compound: Pr12Sm5Cd2
Radiation: λ = 1.5418 Å (Cu Kα)
Structure: a cell relaxed with PBE
Intensities are scaled so that the largest is 100.

Largest 6 diffraction maxima, most intense first, 2θ from 10° to 90°:
Position (°2θ), I (rel.)
30.9, 100.0
32.4, 53.1
31.4, 49.4
29.7, 40.3
30.8, 33.9
29.5, 33.8

Crystal structure
```
Pr12Sm5Cd2
1.0
7.9381 -4.6957 0.0000
7.9381 4.6957 0.0000
-0.5349 0.0000 8.7104
Pr Sm Cd
12 5 2
Direct
0.0577 0.0577 0.3303
0.0679 0.6788 0.3221
0.1690 0.5389 0.7643
0.3212 0.9321 0.6779
0.4215 0.4215 0.1177
0.4611 0.8310 0.2357
0.5389 0.1690 0.7643
0.5785 0.5785 0.8823
0.6788 0.0679 0.3221
0.8310 0.4611 0.2357
0.9321 0.3212 0.6779
0.9423 0.9423 0.6697
0.1973 0.1973 0.0223
0.2678 0.2678 0.4258
0.5000 0.5000 0.5000
0.7322 0.7322 0.5742
0.8027 0.8027 0.9777
0.1678 0.8322 0.0000
0.8322 0.1678 0.0000
```

***

3.
Simulated PXRD pattern
Compound: PrSm4Cd3
Radiation: λ = 1.5418 Å (Cu Kα)
Structure: a cell relaxed with PBE
Intensities are scaled so that the largest is 100.

Largest 6 diffraction maxima, most intense first, 2θ from 10° to 90°:
Position (°2θ), I (rel.)
32.9, 100.0
32.3, 26.6
31.9, 26.3
58.0, 19.4
46.0, 18.9
57.5, 18.4

Crystal structure
```
PrSm4Cd3
1.0
3.7582 0.0000 0.0000
0.0000 5.5438 0.0000
0.0000 0.0000 11.2306
Pr Sm Cd
1 4 3
Direct
0.0000 0.0000 0.0000
0.5000 0.0000 0.2661
0.5000 0.0000 0.7339
0.5000 0.5000 0.0000
0.5000 0.5000 0.5000
0.0000 0.0000 0.5000
0.0000 0.5000 0.2488
0.0000 0.5000 0.7512
```

***

4.
Simulated PXRD pattern
Compound: Pr5Sm2Cd5
Radiation: λ = 1.5418 Å (Cu Kα)
Structure: a cell relaxed with PBE
Intensities are scaled so that the largest is 100.

Largest 6 diffraction maxima, most intense first, 2θ from 10° to 90°:
Position (°2θ), I (rel.)
31.3, 100.0
30.6, 58.8
33.0, 49.1
33.1, 43.2
34.2, 38.0
44.8, 22.2

Crystal structure
```
Pr5Sm2Cd5
1.0
8.1774 -1.7729 0.0000
8.1774 1.7729 0.0000
-1.2228 0.0000 12.6558
Pr Sm Cd
5 2 5
Direct
0.0000 0.0000 0.0000
0.1529 0.1529 0.3976
0.3083 0.3083 0.1026
0.6917 0.6917 0.8974
0.8471 0.8471 0.6024
0.4759 0.4759 0.2553
0.5241 0.5241 0.7447
0.1812 0.1812 0.6663
0.3515 0.3515 0.8390
0.5000 0.5000 0.5000
0.6485 0.6485 0.1610
0.8188 0.8188 0.3337
```

***

5.
Simulated PXRD pattern
Compound: PrSm6Cd2
Radiation: λ = 1.5418 Å (Cu Kα)
Structure: a cell relaxed with PBE
Intensities are scaled so that the largest is 100.

Largest 6 diffraction maxima, most intense first, 2θ from 10° to 90°:
Position (°2θ), I (rel.)
32.1, 100.0
31.1, 49.7
57.9, 17.7
56.1, 14.9
55.9, 13.6
47.6, 9.2

Crystal structure
```
PrSm6Cd2
1.0
6.4384 -1.9122 0.0000
6.4384 1.9122 0.0000
-3.8426 0.0000 11.5539
Pr Sm Cd
1 6 2
Direct
0.0000 0.0000 0.0000
0.0167 0.0167 0.3400
0.3120 0.3120 0.4154
0.3150 0.3150 0.1242
0.6850 0.6850 0.8758
0.6880 0.6880 0.5846
0.9833 0.9833 0.6600
0.3513 0.3513 0.7878
0.6487 0.6487 0.2122
```

***

6.
Simulated PXRD pattern
Compound: Pr12Sm3Cd
Radiation: λ = 1.5418 Å (Cu Kα)
Structure: a cell relaxed with PBE
Intensities are scaled so that the largest is 100.

Largest 6 diffraction maxima, most intense first, 2θ from 10° to 90°:
Position (°2θ), I (rel.)
29.9, 100.0
34.8, 33.5
59.4, 28.5
49.7, 23.8
34.4, 16.9
58.8, 13.9

Crystal structure
```
Pr12Sm3Cd
1.0
5.1568 0.0000 0.0000
0.0000 5.1568 0.0000
0.0000 0.0000 20.8692
Pr Sm Cd
12 3 1
Direct
0.0000 0.0000 0.0000
0.0000 0.0000 0.2451
0.0000 0.0000 0.5000
0.0000 0.0000 0.7549
0.0000 0.5000 0.1207
0.0000 0.5000 0.3733
0.0000 0.5000 0.6267
0.0000 0.5000 0.8793
0.5000 0.0000 0.1207
0.5000 0.0000 0.3733
0.5000 0.0000 0.6267
0.5000 0.0000 0.8793
0.5000 0.5000 0.2467
0.5000 0.5000 0.5000
0.5000 0.5000 0.7533
0.5000 0.5000 0.0000
```

***

7.
Simulated PXRD pattern
Compound: Pr4SmCd2
Radiation: λ = 1.5418 Å (Cu Kα)
Structure: a cell relaxed with PBE
Intensities are scaled so that the largest is 100.

Largest 6 diffraction maxima, most intense first, 2θ from 10° to 90°:
Position (°2θ), I (rel.)
29.2, 100.0
28.7, 59.0
34.6, 51.4
34.7, 45.6
34.3, 25.5
45.9, 15.4

Crystal structure
```
Pr4SmCd2
1.0
-4.8231 4.8231 4.9205
4.8231 -4.8231 4.9205
4.8231 4.8231 -4.9205
Pr Sm Cd
8 2 4
Direct
0.1386 0.7252 0.7443
0.1443 0.2309 0.7557
0.2748 0.0191 0.4134
0.4752 0.3886 0.2443
0.6057 0.8614 0.5866
0.6114 0.8557 0.0866
0.7691 0.5248 0.9134
0.9809 0.3943 0.2557
0.0000 0.0000 0.0000
0.7500 0.2500 0.5000
0.2300 0.6250 0.1050
0.3750 0.4800 0.6050
0.5200 0.1250 0.8950
0.8750 0.7700 0.3950
```

***

8.
Simulated PXRD pattern
Compound: Pr5SmCd3
Radiation: λ = 1.5418 Å (Cu Kα)
Structure: a cell relaxed with PBE
Intensities are scaled so that the largest is 100.

Largest 6 diffraction maxima, most intense first, 2θ from 10° to 90°:
Position (°2θ), I (rel.)
31.3, 100.0
32.5, 98.1
57.3, 35.5
45.8, 34.8
62.1, 29.8
58.0, 18.3

Crystal structure
```
Pr5SmCd3
1.0
9.5439 0.0000 0.0000
-4.7720 8.2653 0.0000
0.0000 0.0000 7.1209
Pr Sm Cd
10 2 6
Direct
0.0000 0.3351 0.2500
0.0000 0.6649 0.7500
0.3333 0.6667 0.0000
0.3333 0.6667 0.5000
0.3351 0.0000 0.2500
0.3351 0.3351 0.7500
0.6649 0.0000 0.7500
0.6649 0.6649 0.2500
0.6667 0.3333 0.0000
0.6667 0.3333 0.5000
0.0000 0.0000 0.0000
0.0000 0.0000 0.5000
0.0000 0.3289 0.7500
0.0000 0.6711 0.2500
0.3289 0.0000 0.7500
0.3289 0.3289 0.2500
0.6711 0.0000 0.2500
0.6711 0.6711 0.7500
```

***

9.
Simulated PXRD pattern
Compound: Pr4Sm5Cd
Radiation: λ = 1.5418 Å (Cu Kα)
Structure: a cell relaxed with PBE
Intensities are scaled so that the largest is 100.

Largest 6 diffraction maxima, most intense first, 2θ from 10° to 90°:
Position (°2θ), I (rel.)
30.3, 100.0
34.4, 40.4
59.0, 29.9
51.0, 15.7
49.4, 14.5
36.5, 10.3

Crystal structure
```
Pr4Sm5Cd
1.0
3.6902 0.0000 0.0000
0.0000 3.6902 0.0000
0.0000 0.0000 24.6419
Pr Sm Cd
4 5 1
Direct
0.0000 0.0000 0.1046
0.0000 0.0000 0.3139
0.0000 0.0000 0.6861
0.0000 0.0000 0.8954
0.5000 0.5000 0.0000
0.5000 0.5000 0.2095
0.5000 0.5000 0.4173
0.5000 0.5000 0.5827
0.5000 0.5000 0.7905
0.0000 0.0000 0.5000
```

***

10.
Simulated PXRD pattern
Compound: PrSm3Cd
Radiation: λ = 1.5418 Å (Cu Kα)
Structure: a cell relaxed with PBE
Intensities are scaled so that the largest is 100.

Largest 6 diffraction maxima, most intense first, 2θ from 10° to 90°:
Position (°2θ), I (rel.)
31.8, 100.0
32.5, 92.2
31.1, 56.3
30.2, 38.9
58.5, 22.5
55.3, 18.4

Crystal structure
```
PrSm3Cd
1.0
3.7729 0.0000 0.0000
1.8862 6.6033 0.0000
0.0018 0.6532 12.9100
Pr Sm Cd
2 6 2
Direct
0.2287 0.0416 0.2506
0.7713 0.9584 0.7494
0.0381 0.4234 0.6894
0.1456 0.2092 0.9482
0.3670 0.7676 0.5258
0.6330 0.2324 0.4742
0.8544 0.7908 0.0518
0.9619 0.5766 0.3106
0.4465 0.6072 0.8732
0.5535 0.3928 0.1268
```

***

11.
Simulated PXRD pattern
Compound: PrCd2Sn2
Radiation: λ = 1.5418 Å (Cu Kα)
Structure: a cell relaxed with PBE
Intensities are scaled so that the largest is 100.

Largest 6 diffraction maxima, most intense first, 2θ from 10° to 90°:
Position (°2θ), I (rel.)
33.2, 100.0
39.6, 17.2
39.9, 16.7
36.0, 14.8
67.8, 12.6
68.3, 12.3

Crystal structure
```
PrCd2Sn2
1.0
2.2571 -12.4626 0.0000
2.2571 12.4626 0.0000
0.0000 0.0000 4.5538
Pr Cd Sn
2 4 4
Direct
0.1483 0.8517 0.7500
0.8517 0.1483 0.2500
0.0414 0.9586 0.2500
0.4562 0.5438 0.2500
0.5438 0.4562 0.7500
0.9586 0.0414 0.7500
0.2494 0.7506 0.2500
0.3703 0.6297 0.7500
0.6297 0.3703 0.2500
0.7506 0.2494 0.7500
```

***

12.
Simulated PXRD pattern
Compound: Pr3Cd2Sn4
Radiation: λ = 1.5418 Å (Cu Kα)
Structure: a cell relaxed with PBE
Intensities are scaled so that the largest is 100.

Largest 6 diffraction maxima, most intense first, 2θ from 10° to 90°:
Position (°2θ), I (rel.)
32.2, 100.0
31.9, 93.0
38.2, 38.5
31.7, 15.4
33.0, 15.0
34.8, 14.9

Crystal structure
```
Pr3Cd2Sn4
1.0
4.7125 0.0000 0.0000
-0.0059 7.1587 0.0000
-2.3514 -3.1063 7.7432
Pr Cd Sn
3 2 4
Direct
0.0000 0.0000 0.0000
0.1330 0.6198 0.2664
0.8670 0.3802 0.7336
0.3347 0.0075 0.6700
0.6653 0.9925 0.3300
0.2144 0.2505 0.4277
0.4874 0.6888 0.9748
0.5126 0.3112 0.0252
0.7856 0.7495 0.5723
```

***

13.
Simulated PXRD pattern
Compound: PrCdSn3
Radiation: λ = 1.5418 Å (Cu Kα)
Structure: a cell relaxed with PBE
Intensities are scaled so that the largest is 100.

Largest 6 diffraction maxima, most intense first, 2θ from 10° to 90°:
Position (°2θ), I (rel.)
31.1, 100.0
33.7, 67.1
34.5, 60.4
34.6, 54.3
31.0, 51.6
39.9, 49.5

Crystal structure
```
PrCdSn3
1.0
13.3077 0.0000 0.0000
0.0000 6.3823 0.0000
0.0000 0.0000 6.4098
Pr Cd Sn
4 4 12
Direct
0.1901 0.0055 0.2500
0.1901 0.4945 0.7500
0.8099 0.5055 0.2500
0.8099 0.9945 0.7500
0.3861 0.2500 0.0000
0.3861 0.2500 0.5000
0.6139 0.7500 0.0000
0.6139 0.7500 0.5000
0.0000 0.2500 0.0000
0.0000 0.2500 0.5000
0.0000 0.7500 0.0000
0.0000 0.7500 0.5000
0.2305 0.5102 0.2500
0.2305 0.9898 0.7500
0.4208 0.6970 0.7500
0.4208 0.8030 0.2500
0.5792 0.1970 0.7500
0.5792 0.3030 0.2500
0.7695 0.0102 0.2500
0.7695 0.4898 0.7500
```